No. 1
Diffraction record for Tb4TmNi2. The powder diffraction line list is simulated, not measured: it uses DFT lattice parameters and positions (PBE) and Cu Kα (λ = 1.5418 Å).
Peak positions follow from Bragg's law for the DFT cell and can differ from measured ones.

Structure:
a = 7.4688 Å, b = 6.3711 Å, c = 7.9488 Å
α = 90.00°, β = 112.40°, γ = 90.00°
Element x y z (fractional)
Tb 0.0276 0.2500 0.3870
Tb 0.2485 0.7500 0.3425
Tb 0.4069 0.0052 0.7696
Tb 0.4069 0.4948 0.7696
Tb 0.5931 0.5052 0.2304
Tb 0.5931 0.9948 0.2304
Tb 0.7515 0.2500 0.6575
Tb 0.9724 0.7500 0.6130
Tm 0.1517 0.2500 0.0311
Tm 0.8483 0.7500 0.9689
Ni 0.2501 0.7500 0.9948
Ni 0.3815 0.2500 0.4079
Ni 0.6185 0.7500 0.5921
Ni 0.7499 0.2500 0.0052

Most intense lines, 2θ = 5–70°, most intense first:
- 2θ = 31.34°, I 100.0
- 2θ = 30.91°, I 58.2
- 2θ = 37.36°, I 45.5
- 2θ = 31.64°, I 38.6
- 2θ = 36.18°, I 35.3
- 2θ = 33.84°, I 35.0
- 2θ = 57.91°, I 31.4
- 2θ = 37.17°, I 28.7
- 2θ = 46.78°, I 27.4
- 2θ = 35.58°, I 27.1

No. 2
Diffraction record for Tb2UNi9. The powder diffraction line list is simulated, not measured: it uses DFT lattice parameters and positions (PBE) and Cu Kα (λ = 1.5418 Å).
Peak positions follow from Bragg's law for the DFT cell and can differ from measured ones.

Structure:
a = 8.6573 Å, b = 8.6573 Å, c = 8.6573 Å
α = 33.05°, β = 33.05°, γ = 33.05°
Element x y z (fractional)
Tb 0.1389 0.1389 0.1389
Tb 0.8611 0.8611 0.8611
U 0.0000 0.0000 0.0000
Ni 0.0813 0.5818 0.5818
Ni 0.3331 0.3331 0.3331
Ni 0.4182 0.4182 0.9187
Ni 0.4182 0.9187 0.4182
Ni 0.5000 0.5000 0.5000
Ni 0.5818 0.0813 0.5818
Ni 0.5818 0.5818 0.0813
Ni 0.6669 0.6669 0.6669
Ni 0.9187 0.4182 0.4182

Most intense lines, 2θ = 5–70°, most intense first:
- 2θ = 42.87°, I 100.0
- 2θ = 36.48°, I 57.5
- 2θ = 33.08°, I 55.8
- 2θ = 36.07°, I 47.3
- 2θ = 42.55°, I 42.0
- 2θ = 21.14°, I 19.6
- 2θ = 63.52°, I 17.6
- 2θ = 65.40°, I 16.8
- 2θ = 68.92°, I 15.2
- 2θ = 43.05°, I 13.8

No. 3
Diffraction record for Tb3YNi8. The powder diffraction line list is simulated, not measured: it uses DFT lattice parameters and positions (PBE) and Cu Kα (λ = 1.5418 Å).
Peak positions follow from Bragg's law for the DFT cell and can differ from measured ones.

Structure:
a = 8.8121 Å, b = 8.8121 Å, c = 8.8121 Å
α = 33.47°, β = 33.47°, γ = 33.47°
Element x y z (fractional)
Tb 0.0000 0.0000 0.0000
Tb 0.1248 0.1248 0.1248
Tb 0.6249 0.6249 0.6249
Y 0.5000 0.5000 0.5000
Ni 0.0624 0.5625 0.5625
Ni 0.0626 0.0626 0.5624
Ni 0.0626 0.5624 0.0626
Ni 0.3125 0.3125 0.3125
Ni 0.5624 0.0626 0.0626
Ni 0.5625 0.0624 0.5625
Ni 0.5625 0.5625 0.0624
Ni 0.8125 0.8125 0.8125

Most intense lines, 2θ = 5–70°, most intense first:
- 2θ = 41.70°, I 100.0
- 2θ = 35.34°, I 57.7
- 2θ = 67.81°, I 22.6
- 2θ = 63.48°, I 15.7
- 2θ = 43.68°, I 13.8
- 2θ = 21.43°, I 8.6
- 2θ = 67.70°, I 7.5
- 2θ = 63.32°, I 5.3
- 2θ = 43.56°, I 4.5
- 2θ = 10.64°, I 2.1

No. 4
Diffraction record for TbY2Ni. The powder diffraction line list is simulated, not measured: it uses DFT lattice parameters and positions (PBE) and Cu Kα (λ = 1.5418 Å).
Peak positions follow from Bragg's law for the DFT cell and can differ from measured ones.

Structure:
a = 6.8735 Å, b = 9.6302 Å, c = 6.3795 Å
α = 90.00°, β = 90.00°, γ = 90.00°
Element x y z (fractional)
Tb 0.0344 0.2500 0.1412
Tb 0.4656 0.7500 0.6412
Tb 0.5344 0.2500 0.3588
Tb 0.9656 0.7500 0.8588
Y 0.1772 0.0663 0.6789
Y 0.1772 0.4337 0.6789
Y 0.3228 0.5663 0.1789
Y 0.3228 0.9337 0.1789
Y 0.6772 0.0663 0.8211
Y 0.6772 0.4337 0.8211
Y 0.8228 0.5663 0.3211
Y 0.8228 0.9337 0.3211
Ni 0.1108 0.7500 0.4494
Ni 0.3892 0.2500 0.9494
Ni 0.6108 0.7500 0.0506
Ni 0.8892 0.2500 0.5506

Most intense lines, 2θ = 5–70°, most intense first:
- 2θ = 32.31°, I 100.0
- 2θ = 31.19°, I 85.8
- 2θ = 30.96°, I 81.8
- 2θ = 31.99°, I 63.6
- 2θ = 35.03°, I 47.7
- 2θ = 48.65°, I 35.3
- 2θ = 33.87°, I 34.2
- 2θ = 57.22°, I 25.3
- 2θ = 57.48°, I 24.8
- 2θ = 18.43°, I 23.0

No. 5
Diffraction record for TbZn9Ni3. The powder diffraction line list is simulated, not measured: it uses DFT lattice parameters and positions (PBE) and Cu Kα (λ = 1.5418 Å).
Peak positions follow from Bragg's law for the DFT cell and can differ from measured ones.

Structure:
a = 6.7111 Å, b = 6.7111 Å, c = 6.5812 Å
α = 97.98°, β = 97.98°, γ = 136.14°
Element x y z (fractional)
Tb 0.0000 0.0000 0.0000
Zn 0.0192 0.6682 0.6611
Zn 0.2757 0.5013 0.7830
Zn 0.3318 0.9808 0.3389
Zn 0.4987 0.7243 0.2170
Zn 0.5000 0.5000 0.5000
Zn 0.5013 0.2757 0.7830
Zn 0.6682 0.0192 0.6611
Zn 0.7243 0.4987 0.2170
Zn 0.9808 0.3318 0.3389
Ni 0.0000 0.0000 0.5000
Ni 0.0000 0.5000 0.0000
Ni 0.5000 0.0000 0.0000

Most intense lines, 2θ = 5–70°, most intense first:
- 2θ = 41.42°, I 100.0
- 2θ = 41.65°, I 62.7
- 2θ = 41.14°, I 57.7
- 2θ = 35.82°, I 47.6
- 2θ = 35.59°, I 28.6
- 2θ = 41.92°, I 26.8
- 2θ = 46.52°, I 22.7
- 2θ = 46.65°, I 15.2
- 2θ = 28.89°, I 14.0
- 2θ = 68.08°, I 12.4

No. 6
Diffraction record for TbZn12Ni7. The powder diffraction line list is simulated, not measured: it uses DFT lattice parameters and positions (PBE) and Cu Kα (λ = 1.5418 Å).
Peak positions follow from Bragg's law for the DFT cell and can differ from measured ones.

Structure:
a = 7.5632 Å, b = 7.5632 Å, c = 7.5632 Å
α = 109.47°, β = 109.47°, γ = 109.47°
Element x y z (fractional)
Tb 0.0000 0.0000 0.0000
Zn 0.1065 0.3450 0.7614
Zn 0.2386 0.5836 0.3450
Zn 0.2386 0.8935 0.6550
Zn 0.3450 0.2386 0.5836
Zn 0.3450 0.7614 0.1065
Zn 0.4164 0.6550 0.7614
Zn 0.5836 0.3450 0.2386
Zn 0.6550 0.2386 0.8935
Zn 0.6550 0.7614 0.4164
Zn 0.7614 0.1065 0.3450
Zn 0.7614 0.4164 0.6550
Zn 0.8935 0.6550 0.2386
Ni 0.0000 0.0000 0.5000
Ni 0.0000 0.5000 0.0000
Ni 0.0000 0.5000 0.5000
Ni 0.5000 0.0000 0.0000
Ni 0.5000 0.0000 0.5000
Ni 0.5000 0.5000 0.0000
Ni 0.5000 0.5000 0.5000

Most intense lines, 2θ = 5–70°, most intense first:
- 2θ = 51.25°, I 100.0
- 2θ = 41.35°, I 66.0
- 2θ = 24.98°, I 58.3
- 2θ = 32.42°, I 54.1
- 2θ = 46.50°, I 46.9
- 2θ = 28.92°, I 41.4
- 2θ = 38.57°, I 38.5
- 2θ = 35.61°, I 23.6
- 2θ = 61.96°, I 19.9
- 2θ = 53.50°, I 19.1

No. 7
Diffraction record for TbZn10Ni2. The powder diffraction line list is simulated, not measured: it uses DFT lattice parameters and positions (PBE) and Cu Kα (λ = 1.5418 Å).
Peak positions follow from Bragg's law for the DFT cell and can differ from measured ones.

Structure:
a = 8.8689 Å, b = 6.7796 Å, c = 6.7242 Å
α = 82.11°, β = 49.22°, γ = 48.68°
Element x y z (fractional)
Tb 0.0000 0.0000 0.0000
Zn 0.0000 0.5000 0.0000
Zn 0.0155 0.6526 0.3474
Zn 0.2824 0.5080 0.4920
Zn 0.3474 0.9845 0.0155
Zn 0.4920 0.7176 0.2824
Zn 0.5000 0.0000 0.5000
Zn 0.5080 0.2824 0.7176
Zn 0.6526 0.0155 0.9845
Zn 0.7176 0.4920 0.5080
Zn 0.9845 0.3474 0.6526
Ni 0.0000 0.0000 0.5000
Ni 0.5000 0.5000 0.0000

Most intense lines, 2θ = 5–70°, most intense first:
- 2θ = 40.71°, I 100.0
- 2θ = 41.44°, I 63.8
- 2θ = 41.03°, I 54.5
- 2θ = 35.26°, I 49.2
- 2θ = 46.34°, I 20.9
- 2θ = 35.89°, I 17.5
- 2θ = 46.52°, I 14.6
- 2θ = 31.82°, I 12.0
- 2θ = 68.00°, I 11.5
- 2θ = 28.79°, I 11.4

No. 8
Diffraction record for Tb12Zn6Ni. The powder diffraction line list is simulated, not measured: it uses DFT lattice parameters and positions (PBE) and Cu Kα (λ = 1.5418 Å).
Peak positions follow from Bragg's law for the DFT cell and can differ from measured ones.

Structure:
a = 8.0035 Å, b = 8.0035 Å, c = 8.0035 Å
α = 93.63°, β = 93.63°, γ = 93.63°
Element x y z (fractional)
Tb 0.0461 0.9299 0.6983
Tb 0.0701 0.3017 0.9539
Tb 0.1835 0.4053 0.5346
Tb 0.3017 0.9539 0.0701
Tb 0.4053 0.5346 0.1835
Tb 0.4654 0.8165 0.5947
Tb 0.5346 0.1835 0.4053
Tb 0.5947 0.4654 0.8165
Tb 0.6983 0.0461 0.9299
Tb 0.8165 0.5947 0.4654
Tb 0.9299 0.6983 0.0461
Tb 0.9539 0.0701 0.3017
Zn 0.1532 0.7606 0.3588
Zn 0.2394 0.6412 0.8468
Zn 0.3588 0.1532 0.7605
Zn 0.6412 0.8468 0.2394
Zn 0.7605 0.3588 0.1532
Zn 0.8468 0.2394 0.6412
Ni 0.5000 0.5000 0.5000

Most intense lines, 2θ = 5–70°, most intense first:
- 2θ = 32.68°, I 100.0
- 2θ = 37.19°, I 95.7
- 2θ = 28.95°, I 68.9
- 2θ = 36.37°, I 40.5
- 2θ = 34.87°, I 37.0
- 2θ = 24.29°, I 36.3
- 2θ = 30.64°, I 26.5
- 2θ = 42.14°, I 21.7
- 2θ = 50.78°, I 18.1
- 2θ = 61.15°, I 17.7

No. 9
Diffraction record for Tb3Zn4Ni2. The powder diffraction line list is simulated, not measured: it uses DFT lattice parameters and positions (PBE) and Cu Kα (λ = 1.5418 Å).
Peak positions follow from Bragg's law for the DFT cell and can differ from measured ones.

Structure:
a = 5.7118 Å, b = 5.7118 Å, c = 8.3017 Å
α = 112.44°, β = 112.44°, γ = 44.29°
Element x y z (fractional)
Tb 0.0000 0.0000 0.0000
Tb 0.3181 0.3181 0.3555
Tb 0.6819 0.6819 0.6445
Zn 0.0337 0.0337 0.3679
Zn 0.2834 0.2834 0.9447
Zn 0.7166 0.7166 0.0553
Zn 0.9663 0.9663 0.6321
Ni 0.4024 0.4024 0.7358
Ni 0.5976 0.5976 0.2642

Most intense lines, 2θ = 5–70°, most intense first:
- 2θ = 35.60°, I 100.0
- 2θ = 34.84°, I 80.4
- 2θ = 41.00°, I 70.2
- 2θ = 41.96°, I 39.2
- 2θ = 34.07°, I 30.9
- 2θ = 23.68°, I 27.6
- 2θ = 56.18°, I 19.2
- 2θ = 52.79°, I 17.0
- 2θ = 55.11°, I 15.4
- 2θ = 69.61°, I 14.5

No. 10
Diffraction record for Tb2Zn5Ni4. The powder diffraction line list is simulated, not measured: it uses DFT lattice parameters and positions (PBE) and Cu Kα (λ = 1.5418 Å).
Peak positions follow from Bragg's law for the DFT cell and can differ from measured ones.

Structure:
a = 9.0058 Å, b = 8.2624 Å, c = 5.1110 Å
α = 80.95°, β = 64.96°, γ = 34.09°
Element x y z (fractional)
Tb 0.1402 0.1402 0.8598
Tb 0.8598 0.8598 0.1402
Zn 0.0000 0.0000 0.5000
Zn 0.2500 0.2500 0.2500
Zn 0.5000 0.5000 0.0000
Zn 0.5000 0.5000 0.5000
Zn 0.7500 0.7500 0.7500
Ni 0.2151 0.5278 0.4722
Ni 0.4722 0.7849 0.2151
Ni 0.5278 0.2151 0.7849
Ni 0.7849 0.4722 0.5278

Most intense lines, 2θ = 5–70°, most intense first:
- 2θ = 39.23°, I 100.0
- 2θ = 41.93°, I 83.0
- 2θ = 30.48°, I 56.0
- 2θ = 26.28°, I 55.8
- 2θ = 40.53°, I 51.2
- 2θ = 35.60°, I 41.9
- 2θ = 46.26°, I 37.3
- 2θ = 54.43°, I 29.2
- 2θ = 45.78°, I 23.2
- 2θ = 63.17°, I 21.7

No. 11
Diffraction record for TbZn9Ni2. The powder diffraction line list is simulated, not measured: it uses DFT lattice parameters and positions (PBE) and Cu Kα (λ = 1.5418 Å).
Peak positions follow from Bragg's law for the DFT cell and can differ from measured ones.

Structure:
a = 8.4679 Å, b = 8.4679 Å, c = 2.9807 Å
α = 90.00°, β = 90.00°, γ = 120.00°
Element x y z (fractional)
Tb 0.0000 0.0000 0.0000
Zn 0.0000 0.5000 0.0000
Zn 0.1895 0.3790 0.5000
Zn 0.1895 0.8105 0.5000
Zn 0.3790 0.1895 0.5000
Zn 0.5000 0.0000 0.0000
Zn 0.5000 0.5000 0.0000
Zn 0.6210 0.8105 0.5000
Zn 0.8105 0.1895 0.5000
Zn 0.8105 0.6210 0.5000
Ni 0.3333 0.6667 0.0000
Ni 0.6667 0.3333 0.0000

Most intense lines, 2θ = 5–70°, most intense first:
- 2θ = 42.71°, I 100.0
- 2θ = 38.94°, I 97.2
- 2θ = 36.88°, I 48.9
- 2θ = 48.14°, I 29.7
- 2θ = 32.30°, I 29.4
- 2θ = 59.16°, I 20.3
- 2θ = 66.28°, I 15.8
- 2θ = 44.64°, I 15.3
- 2θ = 62.30°, I 12.9
- 2θ = 63.45°, I 12.7

No. 12
Diffraction record for TbZn12Ni4. The powder diffraction line list is simulated, not measured: it uses DFT lattice parameters and positions (PBE) and Cu Kα (λ = 1.5418 Å).
Peak positions follow from Bragg's law for the DFT cell and can differ from measured ones.

Structure:
a = 7.2820 Å, b = 7.2820 Å, c = 7.2820 Å
α = 109.47°, β = 109.47°, γ = 109.47°
Element x y z (fractional)
Tb 0.0000 0.0000 0.0000
Zn 0.1635 0.3463 0.5098
Zn 0.1635 0.6537 0.8172
Zn 0.1828 0.8365 0.3463
Zn 0.3463 0.1828 0.8365
Zn 0.3463 0.5098 0.1635
Zn 0.4902 0.8365 0.6537
Zn 0.5098 0.1635 0.3463
Zn 0.6537 0.4902 0.8365
Zn 0.6537 0.8172 0.1635
Zn 0.8172 0.1635 0.6537
Zn 0.8365 0.3463 0.1828
Zn 0.8365 0.6537 0.4902
Ni 0.0000 0.0000 0.5000
Ni 0.0000 0.5000 0.0000
Ni 0.5000 0.0000 0.0000
Ni 0.5000 0.5000 0.5000

Most intense lines, 2θ = 5–70°, most intense first:
- 2θ = 33.71°, I 100.0
- 2θ = 40.13°, I 52.7
- 2θ = 53.38°, I 34.7
- 2θ = 55.74°, I 31.5
- 2θ = 48.41°, I 13.4
- 2θ = 30.06°, I 12.6
- 2θ = 64.63°, I 8.7
- 2θ = 66.75°, I 7.3
- 2θ = 68.83°, I 6.3
- 2θ = 25.96°, I 6.3